K6MgBi2O8: calculated powder X-ray diffraction pattern (Cu Kα), based on a crystal structure in the Materials Project, relaxed with PBE.
Kinematic intensities with the Lorentz-polarization factor, no thermal factor.

Peak list (6 most intense, 10 to 80 degrees two-theta, by intensity)
Position (°2θ), I (rel.), h k l
15.78, 100, 0 1 -1
30.43, 48, 1 -1 2
12.49, 45, 0 1 0
28.36, 44, 0 1 2
16.74, 42, 1 0 -1
29.64, 42, 1 2 -1

Structural model:
```
data_K6MgBi2O8
_cell_length_a 6.350
_cell_length_b 7.177
_cell_length_c 7.772
_cell_angle_alpha 98.20
_cell_angle_beta 99.67
_cell_angle_gamma 92.34
_space_group_name_H-M_alt 'P 1'
_space_group_IT_number 1
loop_
_space_group_symop_operation_xyz
'x,y,z'
loop_
_atom_site_label
_atom_site_type_symbol
_atom_site_fract_x
_atom_site_fract_y
_atom_site_fract_z
K1 K 0.000 0.000 0.000
K2 K 0.009 0.077 0.439
K3 K 0.096 0.694 0.620
K4 K 0.471 0.720 0.042
K5 K 0.506 0.391 0.365
K6 K 0.572 0.851 0.555
Mg1 Mg 0.008 0.364 0.809
Bi1 Bi 0.488 0.245 0.852
Bi2 Bi 0.985 0.538 0.177
O1 O 0.202 0.358 0.045
O2 O 0.246 0.716 0.314
O3 O 0.247 0.359 0.665
O4 O 0.349 0.969 0.810
O5 O 0.760 0.183 0.704
O6 O 0.784 0.704 0.316
O7 O 0.832 0.285 0.211
O8 O 0.892 0.608 0.916
```